For CsLuAs2S7, a DFT-relaxed cell (PBE, OQMD) gives the calculated X-ray diffraction stick pattern in this record (Cu Kα (weighted mean of Kα1 and Kα2)).

Largest 10 diffraction maxima, sorted by position, 10° ≤ 2θ ≤ 80°:
- d 6.913, I = 73
- d 5.169, I = 100
- d 4.605, I = 77
- d 4.139, I = 68
- d 3.420, I = 84
- d 2.984, I = 57
- d 2.934, I = 42
- d 2.843, I = 35
- d 2.302, I = 26
- d 2.092, I = 41

Atomic structure:
Cell lengths 6.930, 6.930, 6.996 Å; angles 95.87, 95.87, 96.43 degrees
Fractional coordinates of all 11 atoms:
Cs (0.000, 0.000, 0.000)
Lu (0.402, 0.598, 0.500)
As (0.556, 0.050, 0.412)
As (0.950, 0.444, 0.588)
S (0.029, 0.573, 0.333)
S (0.216, 0.463, 0.786)
S (0.427, 0.971, 0.667)
S (0.455, 0.282, 0.258)
S (0.537, 0.784, 0.214)
S (0.718, 0.545, 0.742)
S (0.888, 0.112, 0.500)